[1]
Calculated PXRD pattern
Compound: Sc11Al9Ga4
Radiation: Cu Kα (weighted mean of Kα1 and Kα2)
Structure: a GGA-PBE-relaxed structure
Kinematic intensities with the Lorentz-polarization factor, no thermal factor.

Principal peaks in the range 5° ≤ 2θ ≤ 70°, by angle:
11.257 Å, I = 45
5.146 Å, I = 23
4.379 Å, I = 29
2.572 Å, I = 37
2.482 Å, I = 37
2.401 Å, I = 81
2.382 Å, I = 100
2.359 Å, I = 96
2.254 Å, I = 32
2.236 Å, I = 37
1.655 Å, I = 26
1.363 Å, I = 25

Structural model:
a = 12.2924 Å, b = 12.2924 Å, c = 3.3106 Å
α = 90.00°, β = 90.00°, γ = 113.69°
Fractional coordinates of all 24 atoms:
Sc1 0.0000 0.0000 0.0000
Sc2 0.0488 0.4062 0.0000
Sc3 0.1626 0.8374 0.0000
Sc4 0.2942 0.2942 0.0000
Sc5 0.3707 0.6293 0.0000
Sc6 0.4062 0.0488 0.0000
Sc7 0.5938 0.9512 0.0000
Sc8 0.6293 0.3707 0.0000
Sc9 0.7058 0.7058 0.0000
Sc10 0.8374 0.1626 0.0000
Sc11 0.9512 0.5938 0.0000
Al1 0.0648 0.2138 0.5000
Al2 0.1644 0.6283 0.5000
Al3 0.2138 0.0648 0.5000
Al4 0.3717 0.8356 0.5000
Al5 0.5000 0.5000 0.5000
Al6 0.6283 0.1644 0.5000
Al7 0.7862 0.9352 0.5000
Al8 0.8356 0.3717 0.5000
Al9 0.9352 0.7862 0.5000
Ga1 0.2402 0.4434 0.5000
Ga2 0.4434 0.2402 0.5000
Ga3 0.5566 0.7598 0.5000
Ga4 0.7598 0.5566 0.5000

[2]
Calculated PXRD pattern
Compound: Sc3HRh
Radiation: Cu Kα (weighted mean of Kα1 and Kα2)
Structure: a GGA-PBE-relaxed structure
Kinematic intensities with the Lorentz-polarization factor, no thermal factor.

Principal peaks in the range 5° ≤ 2θ ≤ 70°, by angle:
5.844 Å, I = 76
4.313 Å, I = 49
3.651 Å, I = 34
2.654 Å, I = 38
2.541 Å, I = 34
2.488 Å, I = 100
2.400 Å, I = 74
2.314 Å, I = 31
2.179 Å, I = 34
2.120 Å, I = 42
1.847 Å, I = 27
1.474 Å, I = 25

Structural model:
a = 6.9399 Å, b = 3.3660 Å, c = 7.6439 Å
α = 90.00°, β = 107.23°, γ = 90.00°
Fractional coordinates of all 10 atoms:
Sc1 0.0848 0.0000 0.3248
Sc2 0.2967 0.0000 0.0357
Sc3 0.3398 0.5000 0.6856
Sc4 0.6602 0.5000 0.3144
Sc5 0.7033 0.0000 0.9643
Sc6 0.9152 0.0000 0.6752
H1 0.0000 0.5000 0.5000
H2 0.5000 0.5000 0.0000
Rh1 0.0000 0.5000 0.0000
Rh2 0.5000 0.0000 0.5000

- Number 1 is which compound?
  Sc11Al9Ga4